Record 1
Starting from a structure optimized by DFT (PBE), the X-ray diffraction stick pattern of Nd3P4Rh4 was calculated for CuKα.
Peak positions follow from Bragg's law for the DFT cell and can differ from measured ones.

Main lines, by intensity (10° ≤ 2θ ≤ 90°):
| 2θ (°) | I (rel.) |
| --- | --- |
| 34.58 | 100 |
| 34.14 | 28 |
| 44.22 | 20 |
| 45.10 | 19 |
| 46.76 | 15 |
| 24.35 | 13 |

```
Nd3P4Rh4
1.0
4.0208 0.0000 0.0000
0.0009 4.0965 0.0000
2.0014 2.0445 12.1375
Nd P Rh
3 4 4
Direct
0.0000 0.0000 0.0000
0.1463 0.6458 0.7092
0.8537 0.3542 0.2908
0.3070 0.8067 0.3858
0.4486 0.4506 0.0977
0.5514 0.5494 0.9023
0.6930 0.1933 0.6142
0.2475 0.2476 0.5048
0.4043 0.9034 0.1923
0.5957 0.0966 0.8077
0.7525 0.7524 0.4952
```

Record 2
Starting from a structure optimized by DFT (PBE), the X-ray diffraction stick pattern of Nd2TiP3Rh4 was calculated for CuKα.
Peak positions follow from Bragg's law for the DFT cell and can differ from measured ones.

Main lines, by intensity (10° ≤ 2θ ≤ 90°):
| 2θ (°) | I (rel.) |
| --- | --- |
| 35.80 | 100 |
| 33.95 | 55 |
| 44.86 | 50 |
| 49.01 | 28 |
| 57.42 | 24 |
| 76.78 | 21 |

```
Nd2TiP3Rh4
1.0
4.0411 0.0000 0.0000
0.0000 4.0411 0.0000
0.0000 0.0000 10.4658
Nd Ti P Rh
2 1 3 4
Direct
0.0000 0.5000 0.2370
0.5000 0.0000 0.7630
0.0000 0.0000 0.5000
0.0000 0.5000 0.8649
0.5000 0.0000 0.1351
0.5000 0.5000 0.5000
0.0000 0.0000 0.0000
0.0000 0.5000 0.6379
0.5000 0.0000 0.3621
0.5000 0.5000 0.0000
```

Record 3
Starting from a structure optimized by DFT (PBE), the X-ray diffraction stick pattern of NdTmP2Rh5 was calculated for CuKα.
Peak positions follow from Bragg's law for the DFT cell and can differ from measured ones.

Main lines, by intensity (10° ≤ 2θ ≤ 90°):
| 2θ (°) | I (rel.) |
| --- | --- |
| 35.55 | 100 |
| 44.58 | 46 |
| 27.68 | 29 |
| 25.27 | 24 |
| 76.23 | 21 |
| 51.92 | 20 |

```
NdTmP2Rh5
1.0
4.0647 0.0000 0.0000
0.0000 4.0647 0.0000
0.0000 0.0000 10.5721
Nd Tm P Rh
1 1 2 5
Direct
0.0000 0.0000 0.0000
0.0000 0.0000 0.5000
0.5000 0.5000 0.2148
0.5000 0.5000 0.7852
0.0000 0.5000 0.3078
0.0000 0.5000 0.6922
0.5000 0.0000 0.3078
0.5000 0.0000 0.6922
0.5000 0.5000 0.0000
```

Question: What is the formula in the third record?
Answer: NdTmP2Rh5